Calculated X-ray powder pattern
Compound: AcDy2IrO8
Radiation: copper Kα
Structure: DFT lattice parameters and positions (GGA-PBE)
Peak positions follow from Bragg's law for the DFT cell and can differ from measured ones.

Peak list (10 most intense, 5° ≤ 2θ ≤ 70°, most intense first)
(hkl), d_spacing, 2θ (°), Rel. int.
1 2 0, 2.900, 30.83, 100.0
1 0 -1, 3.633, 24.50, 52.0
1 0 1, 3.579, 24.87, 50.8
2 2 -1, 1.923, 47.27, 36.9
2 2 1, 1.907, 47.69, 36.5
0 0 2, 2.550, 35.20, 29.4
0 2 3, 1.531, 60.46, 20.3
0 4 2, 1.450, 64.23, 12.2
1 4 1, 1.582, 58.34, 10.5
1 0 -3, 1.620, 56.84, 9.6

Structure:
abc: 5.0964 7.0528 5.1037
angles: 90.00 90.85 90.00
Atoms (fractional coordinates):
Ac  0.0000  0.0000  0.0000
Dy  0.5000  0.2536  0.5000
Dy  0.5000  0.7464  0.5000
Ir  0.0000  0.5000  0.0000
O  0.1894  0.3032  0.1870
O  0.1894  0.6968  0.1870
O  0.2656  0.5000  0.7322
O  0.3222  0.0000  0.6747
O  0.6778  0.0000  0.3253
O  0.7344  0.5000  0.2678
O  0.8106  0.3032  0.8130
O  0.8106  0.6968  0.8130



Calculated X-ray powder pattern
Compound: AcDyIrO6
Radiation: copper Kα
Structure: DFT lattice parameters and positions (GGA-PBE)
Peak positions follow from Bragg's law for the DFT cell and can differ from measured ones.

Peak list (10 most intense, 5° ≤ 2θ ≤ 70°, most intense first)
(hkl), d_spacing, 2θ (°), Rel. int.
1 0 1, 3.565, 24.97, 100.0
1 1 0, 2.781, 32.19, 45.3
2 -1 2, 1.919, 47.37, 42.4
2 0 1, 2.193, 41.16, 26.3
3 -1 1, 1.722, 53.19, 25.9
3 0 0, 1.606, 57.39, 13.1
0 0 2, 2.651, 33.81, 11.2
1 0 3, 1.659, 55.37, 11.1
3 0 2, 1.373, 68.29, 10.6
2 0 3, 1.425, 65.51, 7.3

Structure:
abc: 5.5623 5.5623 5.3023
angles: 90.00 90.00 120.00
Atoms (fractional coordinates):
Ac  0.0000  0.0000  0.0000
Dy  0.3333  0.6667  0.5000
Ir  0.6667  0.3333  0.5000
O  0.3814  0.0395  0.7119
O  0.3814  0.3419  0.2881
O  0.6581  0.0395  0.2881
O  0.6581  0.6186  0.7119
O  0.9605  0.3419  0.7119
O  0.9605  0.6186  0.2881



Please write out number 2 again, unchanged.
Calculated X-ray powder pattern
Compound: AcDyIrO6
Radiation: copper Kα
Structure: DFT lattice parameters and positions (GGA-PBE)
Peak positions follow from Bragg's law for the DFT cell and can differ from measured ones.

Peak list (10 most intense, 5° ≤ 2θ ≤ 70°, most intense first)
(hkl), d_spacing, 2θ (°), Rel. int.
1 0 1, 3.565, 24.97, 100.0
1 1 0, 2.781, 32.19, 45.3
2 -1 2, 1.919, 47.37, 42.4
2 0 1, 2.193, 41.16, 26.3
3 -1 1, 1.722, 53.19, 25.9
3 0 0, 1.606, 57.39, 13.1
0 0 2, 2.651, 33.81, 11.2
1 0 3, 1.659, 55.37, 11.1
3 0 2, 1.373, 68.29, 10.6
2 0 3, 1.425, 65.51, 7.3

Structure:
abc: 5.5623 5.5623 5.3023
angles: 90.00 90.00 120.00
Atoms (fractional coordinates):
Ac  0.0000  0.0000  0.0000
Dy  0.3333  0.6667  0.5000
Ir  0.6667  0.3333  0.5000
O  0.3814  0.0395  0.7119
O  0.3814  0.3419  0.2881
O  0.6581  0.0395  0.2881
O  0.6581  0.6186  0.7119
O  0.9605  0.3419  0.7119
O  0.9605  0.6186  0.2881